[1]
Diffraction record for In4P6Pb2O23. The powder diffractogram is calculated, not measured: it uses DFT lattice parameters and positions (GGA-PBE) and Cu Kα X-rays.
Kinematic intensities with the Lorentz-polarization factor, no thermal factor.

Main lines, most intense first (2θ from 10° to 80°):
| d (Å) | Position (°2θ) | I_rel | h k l |
| --- | --- | --- | --- |
| 3.349 | 26.6 | 100 | 0 2 -2 |
| 3.433 | 26.0 | 89 | 0 1 2 |
| 3.229 | 27.6 | 46 | 2 0 -1 |
| 2.627 | 34.1 | 41 | 0 3 0 |
| 4.147 | 21.4 | 38 | 1 0 -2 |
| 3.887 | 22.9 | 33 | 1 -2 0 |
| 4.291 | 20.7 | 29 | 1 1 0 |
| 2.663 | 33.6 | 25 | 2 -2 1 |
| 2.219 | 40.7 | 21 | 0 1 -4 |
| 2.879 | 31.1 | 21 | -2 1 2 |

Cell and atoms:
Unit cell a=6.675 b=8.383 c=9.138 alpha=100.19 beta=103.72 gamma=103.98
Atoms (fractional coordinates):
In  0.000  0.000  0.000
In  0.053  0.424  0.898
In  0.254  0.032  0.523
In  0.800  0.391  0.376
P  0.016  0.722  0.689
P  0.039  0.702  0.209
P  0.243  0.316  0.292
P  0.516  0.357  0.862
P  0.550  0.071  0.041
P  0.811  0.108  0.607
Pb  0.492  0.719  0.676
Pb  0.563  0.704  0.223
O  0.106  0.262  0.114
O  0.125  0.598  0.759
O  0.137  0.414  0.393
O  0.159  0.619  0.106
O  0.211  0.859  0.677
O  0.214  0.792  0.366
O  0.270  0.152  0.338
O  0.318  0.979  0.025
O  0.365  0.265  0.700
O  0.407  0.469  0.951
O  0.472  0.436  0.306
O  0.561  0.222  0.958
O  0.583  0.988  0.592
O  0.648  0.949  0.952
O  0.692  0.147  0.209
O  0.738  0.463  0.863
O  0.785  0.271  0.562
O  0.841  0.631  0.533
O  0.843  0.564  0.222
O  0.896  0.805  0.793
O  0.918  0.010  0.506
O  0.931  0.826  0.140
O  0.948  0.162  0.786


[2]
Diffraction record for HoFe5P3. The powder diffractogram is calculated, not measured: it uses DFT lattice parameters and positions (GGA-PBE) and Cu Kα X-rays.
Kinematic intensities with the Lorentz-polarization factor, no thermal factor.

Main lines, most intense first (2θ from 10° to 80°):
| d (Å) | Position (°2θ) | I_rel | h k l |
| --- | --- | --- | --- |
| 2.301 | 39.2 | 100 | 2 1 3 |
| 2.295 | 39.3 | 52 | 4 1 0 |
| 1.823 | 50.0 | 31 | 0 2 0 |
| 2.239 | 40.3 | 25 | 4 0 3 |
| 3.299 | 27.0 | 21 | 1 1 1 |
| 1.707 | 53.7 | 21 | 6 0 3 |
| 2.373 | 37.9 | 18 | 3 1 2 |
| 2.512 | 35.7 | 16 | 1 0 4 |
| 1.246 | 76.4 | 14 | 6 2 3 |
| 2.966 | 30.1 | 13 | 2 0 3 |

Cell and atoms:
Unit cell a=11.815 b=3.645 c=10.285 alpha=90.00 beta=90.00 gamma=90.00
Atoms (fractional coordinates):
Ho  0.205  0.250  0.081
Ho  0.295  0.750  0.581
Ho  0.705  0.250  0.419
Ho  0.795  0.750  0.919
Fe  0.010  0.750  0.095
Fe  0.012  0.750  0.708
Fe  0.067  0.750  0.463
Fe  0.177  0.250  0.781
Fe  0.201  0.250  0.377
Fe  0.299  0.750  0.877
Fe  0.323  0.750  0.281
Fe  0.433  0.250  0.963
Fe  0.488  0.250  0.208
Fe  0.490  0.250  0.595
Fe  0.510  0.750  0.405
Fe  0.512  0.750  0.792
Fe  0.567  0.750  0.037
Fe  0.677  0.250  0.719
Fe  0.701  0.250  0.123
Fe  0.799  0.750  0.623
Fe  0.823  0.750  0.219
Fe  0.933  0.250  0.537
Fe  0.988  0.250  0.292
Fe  0.990  0.250  0.905
P  0.104  0.750  0.900
P  0.113  0.250  0.578
P  0.128  0.750  0.266
P  0.372  0.250  0.766
P  0.387  0.750  0.078
P  0.396  0.250  0.400
P  0.604  0.750  0.600
P  0.613  0.250  0.922
P  0.628  0.750  0.234
P  0.872  0.250  0.734
P  0.887  0.750  0.422
P  0.896  0.250  0.100